[1]
In3Cl7O: calculated powder X-ray diffraction pattern (copper Kα), based on a DFT-relaxed cell (PBE, Alexandria).
No peak broadening, texture or thermal motion is included.

Largest 10 diffraction maxima, by angle, 2θ = 10–90°:
| Position (°2θ) | d [Å] | I_rel | index |
| --- | --- | --- | --- |
| 13.49 | 6.563 | 100.0 | 0 0 1 |
| 13.94 | 6.352 | 20.9 | 1 0 0 |
| 19.45 | 4.564 | 25.5 | 0 1 1 |
| 28.10 | 3.176 | 13.5 | 2 0 0 |
| 31.29 | 2.859 | 73.1 | 2 0 1 |
| 39.49 | 2.282 | 55.0 | 2 0 2 |
| 49.72 | 1.834 | 21.2 | 2 2 0 |
| 50.67 | 1.802 | 23.0 | 0 2 3 |
| 51.76 | 1.766 | 16.2 | 2 2 1 |
| 65.27 | 1.429 | 10.4 | 0 4 2 |

Atomic structure:
Lattice parameters (Å, degrees): 7.3348 7.3348 6.5632 90.00 90.00 120.00
Space group P3m1 (No. 156)
One atom of each set of equivalent atoms:
In (0.1778, 0.3556, 0.0000) x3
Cl (0.0000, 0.0000, 0.2277) x1
Cl (0.0006, 0.5003, 0.2359) x3
Cl (0.3234, 0.1617, 0.7898) x3
O (0.3333, 0.6667, 0.8725) x1

=====

[2]
LiEr4Rh: calculated powder X-ray diffraction pattern (copper Kα), based on a DFT-relaxed cell (PBE, Alexandria).
No peak broadening, texture or thermal motion is included.

Largest 10 diffraction maxima, by angle, 2θ = 10–90°:
| Position (°2θ) | d [Å] | I_rel | index |
| --- | --- | --- | --- |
| 15.22 | 5.822 | 19.4 | 1 0 1 |
| 17.88 | 4.961 | 12.4 | 2 0 0 |
| 25.39 | 3.508 | 45.3 | 2 2 0 |
| 28.45 | 3.138 | 20.9 | 3 1 0 |
| 30.71 | 2.911 | 100.0 | 2 0 2 |
| 36.21 | 2.480 | 32.4 | 4 0 0 |
| 38.07 | 2.364 | 13.8 | 3 1 2 |
| 39.49 | 2.282 | 13.7 | 4 1 1 |
| 46.32 | 1.960 | 18.7 | 3 3 2 |
| 48.20 | 1.888 | 32.3 | 4 2 2 |

Atomic structure:
Lattice parameters (Å, degrees): 9.922 9.922 7.190 90.00 90.00 90.00
Space group I4_1md (No. 109)
One atom of each set of equivalent atoms:
Li (0.000, 0.000, 0.000) x4
Er (0.000, 0.262, 0.435) x8
Er (0.000, 0.309, 0.923) x8
Rh (0.000, 0.000, 0.395) x4

=====

[3]
NpBr4Cl2: calculated powder X-ray diffraction pattern (copper Kα), based on a DFT-relaxed cell (PBE, Alexandria).
No peak broadening, texture or thermal motion is included.

Largest 10 diffraction maxima, by angle, 2θ = 10–90°:
| Position (°2θ) | d [Å] | I_rel | index |
| --- | --- | --- | --- |
| 13.79 | 6.422 | 73.5 | 0 0 1 |
| 14.18 | 6.244 | 45.4 | 0 1 0 |
| 14.91 | 5.940 | 52.4 | 1 0 0 |
| 15.18 | 5.838 | 86.8 | 1 1 1 |
| 16.43 | 5.396 | 35.7 | 0 1 1 |
| 17.04 | 5.204 | 86.0 | 1 0 1 |
| 27.61 | 3.231 | 100.0 | -1 1 1 |
| 29.19 | 3.060 | 46.5 | 2 1 2 |
| 36.92 | 2.435 | 33.6 | -1 1 2 |
| 37.59 | 2.393 | 34.8 | 2 -1 0 |

Atomic structure:
Lattice parameters (Å, degrees): 7.028 7.420 7.555 62.97 63.47 62.33
Space group P-1 (No. 2)
One atom of each set of equivalent atoms:
Np (0.000, 0.000, 0.000) x1
Br (0.119, 0.345, 0.773) x2
Br (0.367, 0.779, 0.777) x2
Cl (0.201, 0.909, 0.240) x2

=====

[4]
Tb3Ho2Tl3: calculated powder X-ray diffraction pattern (copper Kα), based on a DFT-relaxed cell (PBE, Alexandria).
No peak broadening, texture or thermal motion is included.

Largest 10 diffraction maxima, by angle, 2θ = 10–90°:
| Position (°2θ) | d [Å] | I_rel | index |
| --- | --- | --- | --- |
| 31.66 | 2.826 | 25.1 | 0 0 8 |
| 33.06 | 2.709 | 100.0 | 1 1 4 |
| 33.30 | 2.691 | 25.4 | 0 2 0 |
| 46.61 | 1.949 | 17.4 | 0 2 8 |
| 48.30 | 1.884 | 9.2 | 2 0 0 |
| 57.29 | 1.608 | 15.9 | 1 1 12 |
| 58.91 | 1.568 | 9.1 | 2 0 8 |
| 59.36 | 1.557 | 19.7 | 1 3 4 |
| 59.93 | 1.543 | 9.7 | 2 2 0 |
| 69.38 | 1.355 | 10.7 | 2 2 8 |

Atomic structure:
Lattice parameters (Å, degrees): 3.769 5.381 22.608 90.00 90.00 90.00
Space group Immm (No. 71)
One atom of each set of equivalent atoms:
Tb (0.000, 0.000, 0.000) x2
Tb (0.000, 0.500, 0.126) x4
Ho (0.000, 0.000, 0.235) x4
Tl (0.000, 0.000, 0.500) x2
Tl (0.000, 0.500, 0.380) x4

=====

[5]
U2Tc5P4: calculated powder X-ray diffraction pattern (copper Kα), based on a DFT-relaxed cell (PBE, Alexandria).
No peak broadening, texture or thermal motion is included.

Largest 10 diffraction maxima, by angle, 2θ = 10–90°:
| Position (°2θ) | d [Å] | I_rel | index |
| --- | --- | --- | --- |
| 18.93 | 4.688 | 44.5 | 1 1 1 |
| 31.55 | 2.836 | 36.1 | 1 3 1 |
| 33.84 | 2.649 | 64.1 | 0 2 4 |
| 35.48 | 2.530 | 100.0 | 2 2 0 |
| 35.66 | 2.518 | 43.0 | 0 4 0 |
| 37.73 | 2.384 | 28.3 | 1 3 3 |
| 40.35 | 2.235 | 45.3 | 1 1 5 |
| 42.38 | 2.133 | 47.7 | 2 0 4 |
| 48.06 | 1.893 | 40.8 | 1 3 5 |
| 63.94 | 1.456 | 23.6 | 2 6 0 |

Atomic structure:
Lattice parameters (Å, degrees): 5.852 10.071 12.459 90.00 90.00 90.00
Space group Fmmm (No. 69)
One atom of each set of equivalent atoms:
U (0.000, 0.000, 0.105) x8
Tc (0.000, 0.000, 0.500) x4
Tc (0.250, 0.250, 0.000) x8
Tc (0.250, 0.250, 0.250) x8
P (0.000, 0.150, 0.363) x16

=====

[6]
YNpB4: calculated powder X-ray diffraction pattern (copper Kα), based on a DFT-relaxed cell (PBE, Alexandria).
No peak broadening, texture or thermal motion is included.

Largest 10 diffraction maxima, by angle, 2θ = 10–90°:
| Position (°2θ) | d [Å] | I_rel | index |
| --- | --- | --- | --- |
| 14.81 | 5.983 | 30.7 | 0 2 0 |
| 16.25 | 5.453 | 66.6 | 1 1 0 |
| 22.39 | 3.970 | 100.0 | 0 0 1 |
| 27.79 | 3.210 | 36.0 | 1 1 1 |
| 30.12 | 2.967 | 34.7 | 2 1 0 |
| 33.33 | 2.688 | 32.9 | 1 4 0 |
| 37.00 | 2.429 | 37.7 | 2 3 0 |
| 37.85 | 2.377 | 47.4 | 2 1 1 |
| 40.52 | 2.227 | 56.0 | 1 4 1 |
| 43.68 | 2.072 | 54.6 | 2 3 1 |

Atomic structure:
Lattice parameters (Å, degrees): 6.126 11.966 3.970 90.00 90.00 90.00
Space group Pbam (No. 55)
One atom of each set of equivalent atoms:
Y (0.118, 0.159, 0.000) x4
Np (0.121, 0.425, 0.000) x4
B (0.018, 0.695, 0.500) x4
B (0.129, 0.969, 0.500) x4
B (0.130, 0.555, 0.500) x4
B (0.204, 0.813, 0.500) x4